Record 1
Diffraction record for YMg6BO8. The PXRD pattern is calculated, not measured: it uses a GGA-PBE-relaxed structure and copper Kα.

Unit cell a=4.3777 b=4.3777 c=8.8969 alpha=90.00 beta=90.00 gamma=90.00
Element x y z (fractional)
1 Y 0.0000 0.0000 0.0000
2 Mg 0.0000 0.0000 0.5000
3 Mg 0.0000 0.5000 0.2617
4 Mg 0.0000 0.5000 0.7383
5 Mg 0.5000 0.0000 0.2617
6 Mg 0.5000 0.0000 0.7383
7 Mg 0.5000 0.5000 0.5000
8 B 0.5000 0.5000 0.0000
9 O 0.0000 0.0000 0.2600
10 O 0.0000 0.0000 0.7400
11 O 0.0000 0.5000 0.0000
12 O 0.0000 0.5000 0.5000
13 O 0.5000 0.0000 0.0000
14 O 0.5000 0.0000 0.5000
15 O 0.5000 0.5000 0.2709
16 O 0.5000 0.5000 0.7291

Main lines, by angle (10° ≤ 2θ ≤ 90°):
- 2θ 20.29, intensity 29.8
- 2θ 22.64, intensity 48.7
- 2θ 35.32, intensity 31.2
- 2θ 40.56, intensity 50.0
- 2θ 41.24, intensity 100.0
- 2θ 59.23, intensity 56.7
- 2θ 59.75, intensity 28.9
- 2θ 74.72, intensity 26.7



Record 2
Diffraction record for BiTeO4. The PXRD pattern is calculated, not measured: it uses a GGA-PBE-relaxed structure and copper Kα.

Unit cell a=7.0508 b=7.0508 c=10.4425 alpha=113.03 beta=113.03 gamma=47.31
Element x y z (fractional)
1 Bi 0.0000 0.0000 0.0000
2 Bi 0.2679 0.2791 0.8996
3 Bi 0.7209 0.7321 0.1004
4 Bi 0.9223 0.0777 0.5000
5 Te 0.1428 0.3994 0.3678
6 Te 0.4469 0.5491 0.7494
7 Te 0.4509 0.5531 0.2506
8 Te 0.6006 0.8572 0.6322
9 O 0.0407 0.3321 0.1586
10 O 0.1028 0.6937 0.1285
11 O 0.1631 0.6882 0.5880
12 O 0.2256 0.5702 0.8315
13 O 0.2395 0.1259 0.6544
14 O 0.3063 0.8972 0.8715
15 O 0.3118 0.8369 0.4120
16 O 0.4298 0.7744 0.1685
17 O 0.4448 0.3386 0.3316
18 O 0.5931 0.2522 0.0944
19 O 0.6029 0.1952 0.6372
20 O 0.6614 0.5552 0.6684
21 O 0.6679 0.9593 0.8414
22 O 0.7478 0.4069 0.9056
23 O 0.8048 0.3971 0.3628
24 O 0.8741 0.7605 0.3456

Main lines, by angle (10° ≤ 2θ ≤ 90°):
- 2θ 27.58, intensity 100.0
- 2θ 28.07, intensity 96.8
- 2θ 30.62, intensity 30.7
- 2θ 31.63, intensity 24.7
- 2θ 34.36, intensity 25.5
- 2θ 44.60, intensity 23.5
- 2θ 47.36, intensity 33.0
- 2θ 58.03, intensity 19.8



Record 3
Diffraction record for SmAlCu. The PXRD pattern is calculated, not measured: it uses a GGA-PBE-relaxed structure and copper Kα.

Unit cell a=5.4536 b=5.4536 c=5.4536 alpha=119.29 beta=119.09 gamma=91.41
Element x y z (fractional)
1 Sm 0.3760 0.1260 0.2500
2 Sm 0.6240 0.8740 0.7500
3 Al 0.0000 0.0000 0.5000
4 Al 0.0000 0.5000 0.0000
5 Cu 0.0000 0.5000 0.5000
6 Cu 0.5000 0.5000 0.0000

Main lines, by angle (10° ≤ 2θ ≤ 90°):
- 2θ 19.85, intensity 40.4
- 2θ 32.49, intensity 29.9
- 2θ 32.86, intensity 70.4
- 2θ 38.32, intensity 100.0
- 2θ 39.05, intensity 47.6
- 2θ 40.36, intensity 16.5
- 2θ 61.82, intensity 24.0
- 2θ 68.89, intensity 21.5



Record 4
Diffraction record for LiTmSn. The PXRD pattern is calculated, not measured: it uses a GGA-PBE-relaxed structure and copper Kα.

Unit cell a=9.3162 b=9.3162 c=7.1899 alpha=90.00 beta=90.00 gamma=120.00
Element x y z (fractional)
1 Li 0.1667 0.3335 0.0000
2 Li 0.1667 0.8333 0.0000
3 Li 0.3335 0.1667 0.5000
4 Li 0.3333 0.6667 0.6091
5 Li 0.6667 0.3333 0.1091
6 Li 0.6665 0.8333 0.0000
7 Li 0.8333 0.1667 0.5000
8 Li 0.8333 0.6665 0.5000
9 Tm 0.0000 0.0000 0.2885
10 Tm 0.0000 0.0000 0.7885
11 Tm 0.0228 0.5114 0.2941
12 Tm 0.4886 0.5114 0.2941
13 Tm 0.4886 0.9772 0.2941
14 Tm 0.5114 0.0228 0.7941
15 Tm 0.5114 0.4886 0.7941
16 Tm 0.9772 0.4886 0.7941
17 Sn 0.1667 0.3334 0.5576
18 Sn 0.1667 0.8333 0.5576
19 Sn 0.3334 0.1667 0.0576
20 Sn 0.3333 0.6667 0.0283
21 Sn 0.6667 0.3333 0.5283
22 Sn 0.6666 0.8333 0.5576
23 Sn 0.8333 0.1667 0.0576
24 Sn 0.8333 0.6666 0.0576

Main lines, by angle (10° ≤ 2θ ≤ 90°):
- 2θ 22.03, intensity 28.7
- 2θ 25.32, intensity 39.6
- 2θ 33.39, intensity 100.0
- 2θ 38.66, intensity 54.0
- 2θ 43.94, intensity 9.2
- 2θ 51.99, intensity 27.1
- 2θ 65.61, intensity 21.6
- 2θ 66.63, intensity 24.3